Mg2TiMn3S8: simulated powder diffractogram (Cu Kα, 1.54184 Å), based on DFT lattice parameters and positions (GGA-PBE).

Cell and atoms:
```
data_Mg2TiMn3S8
_chemical_formula_sum 'Mg6 Ti3 Mn9 S24'
_cell_length_a 7.3270
_cell_length_b 7.3270
_cell_length_c 17.8773
_cell_angle_alpha 90.00
_cell_angle_beta 90.00
_cell_angle_gamma 120.00
_space_group_name_H-M_alt 'R -3 m'
_space_group_IT_number 166
_space_group_name_Hall '-R 3 2"'
loop_
_atom_site_label
_atom_site_type_symbol
_atom_site_fract_x
_atom_site_fract_y
_atom_site_fract_z
Mg1 Mg 0.0000 0.0000 0.1270
Ti1 Ti 0.0000 0.0000 0.5000
Mn1 Mn 0.0000 0.5000 0.0000
S1 S 0.0000 0.0000 0.2630
S2 S 0.0302 0.5151 0.2524
```

Main lines, low angle first (10 to 90 degrees two-theta):
hkl	2θ/deg	d_spacing	I/Imax
0 0 3	14.8	5.974	68
0 2 1	28.6	3.120	71
0 2 4	34.7	2.587	100
0 2 7	45.5	1.992	44
2 2 0	49.8	1.832	48
2 0 8	49.9	1.827	48

=====

MgMnVS4: simulated powder diffractogram (Cu Kα, 1.54184 Å), based on DFT lattice parameters and positions (GGA-PBE).

Cell and atoms:
```
data_MgMnVS4
_chemical_formula_sum 'Mg4 Mn4 V4 S16'
_cell_length_a 7.2258
_cell_length_b 7.2827
_cell_length_c 10.3391
_cell_angle_alpha 90.00
_cell_angle_beta 90.00
_cell_angle_gamma 90.00
_space_group_name_H-M_alt 'I m m a'
_space_group_IT_number 74
_space_group_name_Hall '-I 2b 2'
loop_
_atom_site_label
_atom_site_type_symbol
_atom_site_fract_x
_atom_site_fract_y
_atom_site_fract_z
Mg1 Mg 0.0000 0.2500 0.1259
Mn1 Mn 0.0000 0.0000 0.5000
V1 V 0.2500 0.2500 0.7500
S1 S 0.0000 0.0255 0.7407
S2 S 0.2264 0.2500 0.5132
```

Main lines, low angle first (10 to 90 degrees two-theta):
hkl	2θ/deg	d_spacing	I/Imax
1 0 1	14.9	5.938	87
1 0 3	28.7	3.113	31
1 2 1	28.8	3.102	31
0 0 4	34.7	2.585	42
2 2 0	35.0	2.565	82
2 2 4	50.1	1.821	100

=====

Mg2Mn3VS8: simulated powder diffractogram (Cu Kα, 1.54184 Å), based on DFT lattice parameters and positions (GGA-PBE).

Cell and atoms:
```
data_Mg2Mn3VS8
_chemical_formula_sum 'Mg6 Mn9 V3 S24'
_cell_length_a 7.2621
_cell_length_b 7.2621
_cell_length_c 17.8124
_cell_angle_alpha 90.00
_cell_angle_beta 90.00
_cell_angle_gamma 120.00
_space_group_name_H-M_alt 'R -3 m'
_space_group_IT_number 166
_space_group_name_Hall '-R 3 2"'
loop_
_atom_site_label
_atom_site_type_symbol
_atom_site_fract_x
_atom_site_fract_y
_atom_site_fract_z
Mg1 Mg 0.0000 0.0000 0.1251
Mn1 Mn 0.0000 0.5000 0.0000
V1 V 0.0000 0.0000 0.5000
S1 S 0.0000 0.0000 0.2621
S2 S 0.0332 0.5166 0.2533
```

Main lines, low angle first (10 to 90 degrees two-theta):
hkl	2θ/deg	d_spacing	I/Imax
0 0 3	14.9	5.932	73
0 2 1	28.8	3.098	71
0 2 4	34.9	2.569	100
0 2 7	45.9	1.977	47
2 0 8	50.2	1.816	96
2 2 12	84.3	1.149	21

=====

Mg2Mn3WS8: simulated powder diffractogram (Cu Kα, 1.54184 Å), based on DFT lattice parameters and positions (GGA-PBE).

Cell and atoms:
```
data_Mg2Mn3WS8
_chemical_formula_sum 'Mg4 Mn6 W2 S16'
_cell_length_a 12.6753
_cell_length_b 7.3230
_cell_length_c 7.3254
_cell_angle_alpha 90.00
_cell_angle_beta 125.24
_cell_angle_gamma 90.00
_space_group_name_H-M_alt 'C 1 2/m 1'
_space_group_IT_number 12
loop_
_space_group_symop_operation_xyz
'x,y,z'
'-x,-y,-z'
'-x,y,-z'
'x,-y,z'
'x+1/2,y+1/2,z'
'-x+1/2,-y+1/2,-z'
'-x+1/2,y+1/2,-z'
'x+1/2,-y+1/2,z'
loop_
_atom_site_label
_atom_site_type_symbol
_atom_site_fract_x
_atom_site_fract_y
_atom_site_fract_z
Mg1 Mg 0.1304 0.0000 0.3697
Mn1 Mn 0.0000 0.5000 0.5000
Mn2 Mn 0.2500 0.2500 0.0000
W1 W 0.0000 0.5000 0.0000
S1 S 0.0067 0.2720 0.7652
S2 S 0.2341 0.5000 0.7660
S3 S 0.2347 0.5000 0.2213
```

Main lines, low angle first (10 to 90 degrees two-theta):
hkl	2θ/deg	d_spacing	I/Imax
1 1 0	14.8	5.980	100
4 0 -1	28.6	3.122	79
4 0 0	34.6	2.589	69
5 1 0	45.5	1.993	40
2 2 2	49.8	1.831	63
7 1 -2	52.3	1.750	23

=====

Mg2MnW3S8: simulated powder diffractogram (Cu Kα, 1.54184 Å), based on DFT lattice parameters and positions (GGA-PBE).

Cell and atoms:
```
data_Mg2MnW3S8
_chemical_formula_sum 'Mg4 Mn2 W6 S16'
_cell_length_a 12.0967
_cell_length_b 6.9962
_cell_length_c 7.4981
_cell_angle_alpha 90.00
_cell_angle_beta 122.66
_cell_angle_gamma 90.00
_space_group_name_H-M_alt 'C 1 m 1'
_space_group_IT_number 8
loop_
_space_group_symop_operation_xyz
'x,y,z'
'x,-y,z'
'x+1/2,y+1/2,z'
'x+1/2,-y+1/2,z'
loop_
_atom_site_label
_atom_site_type_symbol
_atom_site_fract_x
_atom_site_fract_y
_atom_site_fract_z
Mg1 Mg 0.0000 0.0000 0.0000
Mg2 Mg 0.2474 0.0000 0.7410
Mn1 Mn 0.0818 0.5000 0.7455
W1 W 0.1392 0.5000 0.3227
W2 W 0.3420 0.2977 0.3231
S1 S 0.0901 0.2535 0.5230
S2 S 0.1127 0.2857 0.0531
S3 S 0.3277 0.5000 0.0543
S4 S 0.3427 0.0000 0.5216
S5 S 0.3658 0.5000 0.5960
S6 S 0.3785 0.0000 0.1362
```

Main lines, low angle first (10 to 90 degrees two-theta):
hkl	2θ/deg	d_spacing	I/Imax
0 0 1	14.0	6.312	100
1 1 0	15.4	5.766	74
4 0 -1	29.9	2.989	40
4 0 0	35.2	2.550	70
2 2 2	48.8	1.865	27
6 2 -2	52.4	1.748	28

=====

MgMnWS4: simulated powder diffractogram (Cu Kα, 1.54184 Å), based on DFT lattice parameters and positions (GGA-PBE).

Cell and atoms:
```
data_MgMnWS4
_chemical_formula_sum 'Mg2 Mn2 W2 S8'
_cell_length_a 6.8697
_cell_length_b 7.3855
_cell_length_c 7.3899
_cell_angle_alpha 60.18
_cell_angle_beta 62.36
_cell_angle_gamma 62.34
_space_group_name_H-M_alt 'P 1'
_space_group_IT_number 1
loop_
_space_group_symop_operation_xyz
'x,y,z'
loop_
_atom_site_label
_atom_site_type_symbol
_atom_site_fract_x
_atom_site_fract_y
_atom_site_fract_z
Mg1 Mg 0.0000 0.0000 0.0000
Mg2 Mg 0.2427 0.2604 0.2602
Mn1 Mn 0.5917 0.6491 0.1703
Mn2 Mn 0.5928 0.1675 0.6493
W1 W 0.0566 0.6452 0.6459
W2 W 0.6543 0.6450 0.6458
S1 S 0.3336 0.4201 0.4213
S2 S 0.3580 0.8574 0.4286
S3 S 0.3585 0.4273 0.8576
S4 S 0.4103 0.8702 0.8720
S5 S 0.8290 0.4196 0.4208
S6 S 0.8430 0.3976 0.9183
S7 S 0.8432 0.9173 0.3981
S8 S 0.8485 0.8702 0.8718
```

Main lines, low angle first (10 to 90 degrees two-theta):
hkl	2θ/deg	d_spacing	I/Imax
0 1 0	14.5	6.107	100
0 2 1	27.6	3.235	21
2 2 1	29.8	2.994	33
0 2 2	33.2	2.698	23
2 2 0	35.6	2.519	32
2 4 2	49.5	1.841	30